This entry pairs a crystal structure of HfSe2I4 with its theoretical powder XRD pattern. Radiation: Cu Kα, 1.54184 Å. Structure: a structure optimized by DFT (PBE).
Lines closer than 0.1° are merged.

```
data_HfSe2I4
_chemical_formula_sum 'Hf2 Se4 I8'
_cell_length_a 21.503
_cell_length_b 4.060
_cell_length_c 7.192
_cell_angle_alpha 90.00
_cell_angle_beta 101.63
_cell_angle_gamma 90.00
_symmetry_space_group_name_H-M 'C 1 2/m 1'
_symmetry_Int_Tables_number 12
_symmetry_space_group_name_Hall '-C 2y'
loop_
_atom_site_label
_atom_site_type_symbol
_atom_site_fract_x
_atom_site_fract_y
_atom_site_fract_z
_atom_site_occupancy
Hf1 Hf 0.000 0.000 0.000 1
Se1 Se 0.240 0.000 0.409 1
I1 I 0.057 0.500 0.272 1
I2 I 0.108 0.000 0.846 1
```

The 8 most intense peaks (15° ≤ 2θ ≤ 90°), sorted by position:
d = 5.376 Å, I 59, (2 0 1); d = 3.430 Å, I 69, (6 0 -1); d = 3.414 Å, I 64, (1 1 1); d = 3.280 Å, I 34, (3 1 -1); d = 3.026 Å, I 100, (3 1 1); d = 2.591 Å, I 58, (1 1 2); d = 2.029 Å, I 71, (0 2 0); d = 1.970 Å, I 49, (5 1 -3)